Structure and simulated X-ray diffraction stick pattern of Cu7Si2 (a DFT-relaxed cell (PBE, Alexandria); CuKα).
Peak positions follow from Bragg's law for the DFT cell and can differ from measured ones.

Largest 10 diffraction maxima, in order of rising 2θ, 2θ = 10–90°:
| h k l | Position (°2θ) | intensity |
| --- | --- | --- |
| 0 0 2 | 23.56 | 3 |
| 1 0 0 | 25.20 | 2 |
| 0 1 1 | 27.87 | 10 |
| 1 0 2 | 34.77 | 5 |
| 0 1 3 | 44.17 | 100 |
| 1 1 0 | 44.40 | 98 |
| 2 0 3 | 64.42 | 30 |
| 1 0 6 | 81.10 | 13 |
| 1 2 3 | 81.59 | 29 |
| 3 0 0 | 81.75 | 14 |

Atomic structure:
```
Cu7Si2
1.0
4.0808 0.0000 0.0000
-2.0404 3.5341 0.0000
0.0000 0.0000 7.5528
Cu Si
7 2
direct
0.0000 0.0000 0.0000
0.0000 0.0000 0.3291
0.0000 0.0000 0.6709
0.3333 0.6667 0.1209
0.3333 0.6667 0.4596
0.6667 0.3333 0.5404
0.6667 0.3333 0.8791
0.3333 0.6667 0.7802
0.6667 0.3333 0.2198
```

---

Structure and simulated X-ray diffraction stick pattern of PuTl4Hg15 (a DFT-relaxed cell (PBE, Alexandria); CuKα).
Peak positions follow from Bragg's law for the DFT cell and can differ from measured ones.

Largest 10 diffraction maxima, in order of rising 2θ, 2θ = 10–90°:
| h k l | Position (°2θ) | intensity |
| --- | --- | --- |
| 1 1 5 | 32.27 | 100 |
| 0 0 10 | 35.72 | 18 |
| 0 2 0 | 36.80 | 18 |
| 2 0 0 | 39.68 | 15 |
| 0 2 10 | 52.22 | 12 |
| 2 2 0 | 55.23 | 11 |
| 1 1 15 | 62.07 | 7 |
| 1 3 -5 | 63.42 | 7 |
| 1 3 5 | 63.47 | 7 |
| 3 1 5 | 67.44 | 12 |

Atomic structure:
```
PuTl4Hg15
1.0
4.5428 0.0000 0.0000
0.0000 4.8848 0.0000
-0.0837 0.0000 25.1393
Pu Tl Hg
1 4 15
direct
0.0000 0.0000 0.0000
0.0001 0.0000 0.1984
0.9999 0.0000 0.8016
0.0023 0.0000 0.3999
0.9977 0.0000 0.6001
0.0000 0.5000 0.5000
0.0005 0.5000 0.0930
0.0044 0.5000 0.2968
0.4968 0.0000 0.7025
0.4973 0.5000 0.6035
0.5004 0.0000 0.0944
0.5000 0.0000 0.5000
0.4996 0.0000 0.9056
0.5000 0.5000 0.0000
0.4999 0.5000 0.1905
0.5001 0.5000 0.8095
0.5032 0.0000 0.2975
0.5027 0.5000 0.3965
0.9956 0.5000 0.7032
0.9995 0.5000 0.9070
```